No. 1
Calculated powder diffraction line list
Compound: Tl2CoAuCl6
Radiation: λ = 1.5418 Å (Cu Kα)
Structure: a structure optimized by DFT (PBE)

Peak list (10 most intense, 2θ = 10–90°, low angle first)
- 25.39 deg, intensity 100
- 31.23 deg, intensity 14
- 36.16 deg, intensity 29
- 36.31 deg, intensity 14
- 44.74 deg, intensity 45
- 52.07 deg, intensity 10
- 52.18 deg, intensity 20
- 58.79 deg, intensity 14
- 65.13 deg, intensity 10
- 71.05 deg, intensity 16

```
data_Tl2CoAuCl6
_chemical_formula_sum 'Tl4 Co2 Au2 Cl12'
_space_group_name_H-M_alt 'C 1 2/m 1'
_space_group_IT_number 12
_cell_length_a 9.897
_cell_length_b 9.938
_cell_length_c 7.011
_cell_angle_alpha 90.00
_cell_angle_beta 134.89
_cell_angle_gamma 90.00
loop_
_space_group_symop_operation_xyz
'x,y,z'
'-x,-y,-z'
'-x,y,-z'
'x,-y,z'
'x+1/2,y+1/2,z'
'-x+1/2,-y+1/2,-z'
'-x+1/2,y+1/2,-z'
'x+1/2,-y+1/2,z'
loop_
_atom_site_label
_atom_site_fract_x
_atom_site_fract_y
_atom_site_fract_z
_atom_site_occupancy
Tl1 0.000 0.250 0.000 1
Co1 0.000 0.000 0.500 1
Au1 0.000 0.500 0.500 1
Cl1 0.000 0.233 0.500 1
Cl2 0.234 0.000 0.499 1
Cl3 0.234 0.000 0.966 1
```

No. 2
Calculated powder diffraction line list
Compound: CrAu3Cl
Radiation: λ = 1.5418 Å (Cu Kα)
Structure: a structure optimized by DFT (PBE)

Peak list (10 most intense, 2θ = 10–90°, low angle first)
- 17.71 deg, intensity 39
- 30.93 deg, intensity 100
- 35.86 deg, intensity 72
- 40.27 deg, intensity 21
- 51.62 deg, intensity 51
- 55.01 deg, intensity 11
- 61.40 deg, intensity 44
- 64.45 deg, intensity 17
- 84.28 deg, intensity 19
- 87.01 deg, intensity 24

```
data_CrAu3Cl
_chemical_formula_sum 'Cr1 Au3 Cl1'
_space_group_name_H-M_alt 'P m -3 m'
_space_group_IT_number 221
_space_group_name_Hall '-P 4 2 3'
_cell_length_a 5.008
_cell_length_b 5.008
_cell_length_c 5.008
_cell_angle_alpha 90.00
_cell_angle_beta 90.00
_cell_angle_gamma 90.00
loop_
_atom_site_label
_atom_site_fract_x
_atom_site_fract_y
_atom_site_fract_z
_atom_site_occupancy
Cr1 0.000 0.000 0.000 1
Au1 0.000 0.000 0.500 1
Cl1 0.500 0.500 0.500 1
```

No. 3
Calculated powder diffraction line list
Compound: Cr2AuCl
Radiation: λ = 1.5418 Å (Cu Kα)
Structure: a structure optimized by DFT (PBE)

Peak list (10 most intense, 2θ = 10–90°, low angle first)
- 12.59 deg, intensity 100
- 28.69 deg, intensity 42
- 30.65 deg, intensity 15
- 36.38 deg, intensity 34
- 37.99 deg, intensity 49
- 38.22 deg, intensity 32
- 40.40 deg, intensity 49
- 46.77 deg, intensity 21
- 48.10 deg, intensity 12
- 66.84 deg, intensity 17

```
data_Cr2AuCl
_chemical_formula_sum 'Cr2 Au1 Cl1'
_space_group_name_H-M_alt 'P m m m'
_space_group_IT_number 47
_cell_length_a 3.205
_cell_length_b 3.470
_cell_length_c 7.031
_cell_angle_alpha 90.00
_cell_angle_beta 90.00
_cell_angle_gamma 90.00
loop_
_space_group_symop_operation_xyz
'x,y,z'
'-x,-y,-z'
'-x,-y,z'
'x,y,-z'
'x,-y,-z'
'-x,y,z'
'-x,y,-z'
'x,-y,z'
loop_
_atom_site_label
_atom_site_fract_x
_atom_site_fract_y
_atom_site_fract_z
_atom_site_occupancy
Cr1 0.000 0.000 0.216 1
Au1 0.500 0.500 0.000 1
Cl1 0.500 0.000 0.500 1
```

No. 4
Calculated powder diffraction line list
Compound: Cs6Au2Cl
Radiation: λ = 1.5418 Å (Cu Kα)
Structure: a structure optimized by DFT (PBE)

Peak list (10 most intense, 2θ = 10–90°, low angle first)
- 11.65 deg, intensity 44
- 14.12 deg, intensity 39
- 18.31 deg, intensity 22
- 22.22 deg, intensity 52
- 22.50 deg, intensity 100
- 28.46 deg, intensity 41
- 28.68 deg, intensity 78
- 34.71 deg, intensity 53
- 35.27 deg, intensity 24
- 36.91 deg, intensity 24

```
data_Cs6Au2Cl
_chemical_formula_sum 'Cs12 Au4 Cl2'
_space_group_name_H-M_alt 'P 1 21/c 1'
_space_group_IT_number 14
_cell_length_a 9.000
_cell_length_b 8.747
_cell_length_c 17.711
_cell_angle_alpha 90.00
_cell_angle_beta 120.46
_cell_angle_gamma 90.00
loop_
_space_group_symop_operation_xyz
'x,y,z'
'-x,-y,-z'
'-x,y+1/2,-z+1/2'
'x,-y+1/2,z+1/2'
loop_
_atom_site_label
_atom_site_fract_x
_atom_site_fract_y
_atom_site_fract_z
_atom_site_occupancy
Cs1 0.002 0.237 0.338 1
Cs2 0.324 0.240 0.660 1
Cs3 0.329 0.722 0.001 1
Au1 0.324 0.501 0.823 1
Cl1 0.000 0.000 0.500 1
```

No. 5
Calculated powder diffraction line list
Compound: Cs4AuCl
Radiation: λ = 1.5418 Å (Cu Kα)
Structure: a structure optimized by DFT (PBE)

Peak list (10 most intense, 2θ = 10–90°, low angle first)
- 10.03 deg, intensity 63
- 21.68 deg, intensity 58
- 22.57 deg, intensity 100
- 27.24 deg, intensity 32
- 28.98 deg, intensity 39
- 34.28 deg, intensity 21
- 34.92 deg, intensity 38
- 35.68 deg, intensity 53
- 40.92 deg, intensity 26
- 57.11 deg, intensity 21

```
data_Cs4AuCl
_chemical_formula_sum 'Cs4 Au1 Cl1'
_space_group_name_H-M_alt 'P 1 2/m 1'
_space_group_IT_number 10
_cell_length_a 8.854
_cell_length_b 5.231
_cell_length_c 8.886
_cell_angle_alpha 90.00
_cell_angle_beta 95.14
_cell_angle_gamma 90.00
loop_
_space_group_symop_operation_xyz
'x,y,z'
'-x,-y,-z'
'-x,y,-z'
'x,-y,z'
loop_
_atom_site_label
_atom_site_fract_x
_atom_site_fract_y
_atom_site_fract_z
_atom_site_occupancy
Cs1 0.224 0.000 0.178 1
Cs2 0.231 0.500 0.693 1
Au1 0.000 0.000 0.500 1
Cl1 0.000 0.500 0.000 1
```

No. 6
Calculated powder diffraction line list
Compound: Cs5Au3Cl
Radiation: λ = 1.5418 Å (Cu Kα)
Structure: a structure optimized by DFT (PBE)

Peak list (10 most intense, 2θ = 10–90°, low angle first)
- 16.26 deg, intensity 23
- 25.41 deg, intensity 76
- 26.71 deg, intensity 100
- 29.95 deg, intensity 32
- 31.78 deg, intensity 18
- 34.61 deg, intensity 23
- 38.08 deg, intensity 15
- 48.44 deg, intensity 14
- 49.20 deg, intensity 18
- 53.17 deg, intensity 21

```
data_Cs5Au3Cl
_chemical_formula_sum 'Cs20 Au12 Cl4'
_space_group_name_H-M_alt 'I 4/m c m'
_space_group_IT_number 140
_space_group_name_Hall '-I 4 2c'
_cell_length_a 9.434
_cell_length_b 9.434
_cell_length_c 18.903
_cell_angle_alpha 90.00
_cell_angle_beta 90.00
_cell_angle_gamma 90.00
loop_
_atom_site_label
_atom_site_fract_x
_atom_site_fract_y
_atom_site_fract_z
_atom_site_occupancy
Cs1 0.000 0.000 0.000 1
Cs2 0.189 0.311 0.140 1
Au1 0.000 0.000 0.250 1
Au2 0.108 0.392 0.500 1
Cl1 0.000 0.500 0.250 1
```

No. 7
Calculated powder diffraction line list
Compound: CsErAuCl6
Radiation: λ = 1.5418 Å (Cu Kα)
Structure: a structure optimized by DFT (PBE)

Peak list (10 most intense, 2θ = 10–90°, low angle first)
- 11.36 deg, intensity 100
- 17.56 deg, intensity 78
- 19.08 deg, intensity 63
- 19.38 deg, intensity 75
- 24.16 deg, intensity 33
- 26.53 deg, intensity 43
- 29.43 deg, intensity 33
- 31.72 deg, intensity 40
- 34.45 deg, intensity 32
- 36.10 deg, intensity 58

```
data_CsErAuCl6
_chemical_formula_sum 'Cs1 Er1 Au1 Cl6'
_space_group_name_H-M_alt 'P 1'
_space_group_IT_number 1
_cell_length_a 6.761
_cell_length_b 6.769
_cell_length_c 7.828
_cell_angle_alpha 93.08
_cell_angle_beta 93.22
_cell_angle_gamma 113.65
loop_
_space_group_symop_operation_xyz
'x,y,z'
loop_
_atom_site_label
_atom_site_fract_x
_atom_site_fract_y
_atom_site_fract_z
_atom_site_occupancy
Cs1 0.000 0.000 0.000 1
Er1 0.649 0.350 0.499 1
Au1 0.299 0.700 0.500 1
Cl1 0.336 0.417 0.309 1
Cl2 0.339 0.043 0.657 1
Cl3 0.583 0.662 0.691 1
Cl4 0.618 0.072 0.259 1
Cl5 0.929 0.379 0.739 1
Cl6 0.955 0.661 0.343 1
```

No. 8
Calculated powder diffraction line list
Compound: Cs4Au2ClF
Radiation: λ = 1.5418 Å (Cu Kα)
Structure: a structure optimized by DFT (PBE)

Peak list (10 most intense, 2θ = 10–90°, low angle first)
- 21.06 deg, intensity 26
- 25.37 deg, intensity 100
- 25.47 deg, intensity 48
- 27.83 deg, intensity 22
- 35.89 deg, intensity 18
- 36.26 deg, intensity 72
- 36.48 deg, intensity 20
- 44.53 deg, intensity 18
- 45.02 deg, intensity 20
- 65.50 deg, intensity 18

```
data_Cs4Au2ClF
_chemical_formula_sum 'Cs16 Au8 Cl4 F4'
_space_group_name_H-M_alt 'C 1 2/c 1'
_space_group_IT_number 15
_cell_length_a 14.042
_cell_length_b 13.988
_cell_length_c 9.852
_cell_angle_alpha 90.00
_cell_angle_beta 134.54
_cell_angle_gamma 90.00
loop_
_space_group_symop_operation_xyz
'x,y,z'
'-x,-y,-z'
'-x,y,-z+1/2'
'x,-y,z+1/2'
'x+1/2,y+1/2,z'
'-x+1/2,-y+1/2,-z'
'-x+1/2,y+1/2,-z+1/2'
'x+1/2,-y+1/2,z+1/2'
loop_
_atom_site_label
_atom_site_fract_x
_atom_site_fract_y
_atom_site_fract_z
_atom_site_occupancy
Cs1 0.000 0.229 0.008 1
Cs2 0.220 0.004 0.471 1
Au1 0.000 0.500 0.000 1
Au2 0.250 0.250 0.000 1
Cl1 0.250 0.250 0.500 1
F1 0.000 0.000 0.000 1
```